Starting from a GGA-PBE-relaxed structure, the powder diffractogram of BaNaBeS2 was computed for CuKα.

Top 6 peaks for 10 to 90 degrees two-theta, by intensity:
2θ = 26.88°, intensity 100, (1 1 1)
2θ = 23.84°, intensity 57, (1 0 -2)
2θ = 21.45°, intensity 50, (0 1 1)
2θ = 13.42°, intensity 49, (1 0 0)
2θ = 39.09°, intensity 47, (1 1 -3)
2θ = 44.04°, intensity 44, (1 2 -2)

Cell and atoms:
Cell: 6.800 4.925 7.899 Å, 90.00 104.08 90.00°
Space group P2/c (No. 13)
One atom of each set of equivalent atoms:
1 Ba 0.000 0.242 0.250
2 Na 0.500 0.482 0.750
3 Be 0.500 0.000 0.000
4 S 0.270 0.241 0.955

---

Starting from a GGA-PBE-relaxed structure, the powder diffractogram of TbHo2Er was computed for CuKα.

Top 6 peaks for 10 to 90 degrees two-theta, by intensity:
2θ = 32.94°, intensity 100, (1 1 -2)
2θ = 31.92°, intensity 24, (0 2 0)
2θ = 28.71°, intensity 24, (2 0 0)
2θ = 61.32°, intensity 23, (3 2 2)
2θ = 57.54°, intensity 21, (1 3 -2)
2θ = 50.86°, intensity 20, (3 0 2)

Cell and atoms:
Cell: 6.215 5.607 7.186 Å, 90.00 90.04 90.00°
Space group P2_1/m (No. 11)
One atom of each set of equivalent atoms:
1 Tb 0.083 0.250 0.374
2 Ho 0.417 0.750 0.374
3 Ho 0.417 0.750 0.875
4 Er 0.083 0.250 0.876

---

Starting from a GGA-PBE-relaxed structure, the powder diffractogram of NiSn2Pt6 was computed for CuKα.

Top 6 peaks for 10 to 90 degrees two-theta, by intensity:
2θ = 39.55°, intensity 100, (2 2 -1)
2θ = 38.03°, intensity 57, (4 0 -1)
2θ = 30.34°, intensity 34, (0 0 2)
2θ = 42.64°, intensity 31, (2 2 1)
2θ = 37.60°, intensity 31, (1 1 2)
2θ = 44.19°, intensity 30, (4 0 1)

Cell and atoms:
Cell: 9.651 5.466 6.023 Å, 90.00 101.94 90.00°
Space group C2/m (No. 12)
One atom of each set of equivalent atoms:
1 Ni 0.000 0.000 0.000
2 Sn 0.160 0.500 0.158
3 Pt 0.085 0.257 0.719
4 Pt 0.180 0.000 0.371

---

Starting from a GGA-PBE-relaxed structure, the powder diffractogram of Ce2Dy2Sb3 was computed for CuKα.

Top 6 peaks for 10 to 90 degrees two-theta, by intensity:
2θ = 29.29°, intensity 100, (3 1 -1)
2θ = 28.58°, intensity 54, (2 0 2)
2θ = 41.23°, intensity 41, (5 1 1)
2θ = 41.53°, intensity 38, (1 1 -3)
2θ = 51.32°, intensity 21, (2 2 2)
2θ = 41.69°, intensity 20, (0 2 0)

Cell and atoms:
Cell: 14.367 4.333 7.545 Å, 90.00 98.36 90.00°
Space group C2/m (No. 12)
One atom of each set of equivalent atoms:
1 Ce 0.116 0.000 0.387
2 Dy 0.127 0.500 0.878
3 Sb 0.000 0.000 0.000
4 Sb 0.245 0.500 0.250